This entry pairs a crystal structure of Cs2Cu2RuO6 with its computed PXRD pattern. Radiation: Cu Kα, 1.54184 Å. Structure: a DFT-relaxed cell (GGA-PBE, Alexandria).
Intensities are scaled so that the largest is 1000.

Atomic structure:
Unit cell a=5.8656 b=5.8656 c=18.8483 alpha=90.00 beta=90.00 gamma=120.00
Space group R-3m (No. 166, hexagonal axes)
Inequivalent atoms, fractional coordinates:
1 Cs 0.0000 0.0000 0.2121 (multiplicity 6)
2 Cu 0.0000 0.0000 0.3873 (multiplicity 6)
3 Ru 0.0000 0.0000 0.0000 (multiplicity 3)
4 O 0.0266 0.5133 0.7281 (multiplicity 18)

The 6 most intense peaks (2θ from 10° to 80°), in order of rising 2θ:
2θ 29.51, I 1000
2θ 30.48, I 857
2θ 42.94, I 255
2θ 53.57, I 389
2θ 54.17, I 165
2θ 63.43, I 150